This entry pairs a crystal structure of HfCrAgS4 with its calculated XRD peak list. Radiation: Cu Kα (weighted mean of Kα1 and Kα2). Structure: a structure optimized by DFT (GGA-PBE).

Main lines, by angle (10° ≤ 2θ ≤ 90°):
- 20.99°, I 95, (0 0 3)
- 26.85°, I 35, (1 -2 0)
- 27.06°, I 24, (2 0 0)
- 28.44°, I 100, (1 -2 1)
- 32.54°, I 25, (1 2 -2)
- 32.84°, I 26, (-1 2 3)

Crystal structure
```
28
Lattice="6.6073 0.0000 0.0000 0.0340 7.7274 0.0000 0.9547 1.8304 12.6942" Properties=species:S:1:pos:R:3 pbc="T T T"
Hf 0.0000 0.0000 0.0000
Hf 0.9298 1.9425 3.8818
Hf 4.1661 7.6922 12.6891
Hf 6.4597 3.8631 8.8415
Cr 3.3007 5.8469 8.9197
Cr 4.2615 3.9283 3.7535
Cr 4.3220 7.7347 3.7619
Cr 6.4189 7.6955 8.9004
Ag 1.1156 5.8356 3.8928
Ag 3.1457 1.9191 8.8387
Ag 4.2181 3.9071 12.6875
Ag 7.4786 5.8494 12.6925
S 0.7606 1.8435 7.9249
S 1.0964 5.8682 8.1377
S 0.8798 1.9019 1.4982
S 1.1220 5.9360 1.3461
S 3.0618 1.8353 11.3870
S 3.2262 5.8902 11.1408
S 3.2889 1.9730 4.5759
S 3.5092 5.8307 4.5782
S 4.2216 4.0006 7.9641
S 4.3664 7.5459 8.0550
S 4.2229 4.0254 1.5219
S 4.4732 7.6079 1.4478
S 6.3038 7.8754 11.2244
S 6.5354 3.7567 11.2429
S 6.3554 3.8776 4.6830
S 6.3819 7.7976 4.7566
```

***

This entry pairs a crystal structure of HfCrAgS4 with its calculated XRD peak list. Radiation: Cu Kα (weighted mean of Kα1 and Kα2). Structure: a structure optimized by DFT (GGA-PBE).

Main lines, by angle (10° ≤ 2θ ≤ 90°):
- 13.71°, I 69, (0 0 2)
- 29.45°, I 71, (1 1 0)
- 29.74°, I 38, (2 0 0)
- 40.54°, I 100, (1 1 -4)
- 41.07°, I 49, (1 1 4)
- 52.60°, I 39, (3 1 0)

Crystal structure
```
14
Lattice="6.0097 0.0000 0.0000 0.0000 3.5134 0.0000 -0.3160 0.0000 12.9213" Properties=species:S:1:pos:R:3 pbc="T T T"
Hf 1.4817 0.8784 0.0358
Hf 4.2119 2.6351 12.8855
Cr 1.6676 0.8784 6.4313
Cr 4.0261 2.6351 6.4900
Ag 1.1998 0.8784 9.4431
Ag 4.4939 2.6351 3.4782
S 0.5042 2.6351 1.5646
S 0.3627 2.6351 7.5818
S 2.2696 2.6351 5.0260
S 2.1792 2.6351 11.3937
S 3.5144 0.8784 1.5276
S 3.4240 0.8784 7.8953
S 5.3310 0.8784 5.3396
S 5.1894 0.8784 11.3567
```

***

This entry pairs a crystal structure of HfCrAgS4 with its calculated XRD peak list. Radiation: Cu Kα (weighted mean of Kα1 and Kα2). Structure: a structure optimized by DFT (GGA-PBE).

Main lines, by angle (10° ≤ 2θ ≤ 90°):
- 21.07°, I 100, (0 0 3)
- 26.78°, I 37, (1 -2 0)
- 27.07°, I 32, (2 0 0)
- 28.25°, I 38, (-1 2 1)
- 28.42°, I 35, (1 2 -2)
- 28.54°, I 36, (2 0 1)

Crystal structure
```
28
Lattice="6.6119 0.0000 0.0000 -0.0199 7.7478 0.0000 -1.0214 -1.8494 12.6466" Properties=species:S:1:pos:R:3 pbc="T T T"
Hf 0.6399 1.0155 3.8419
Hf 0.5690 1.1056 12.6319
Hf 5.0016 4.7928 0.0148
Hf 4.9308 4.8829 8.8048
Cr 1.6688 -0.8707 8.8981
Cr 1.6757 2.9385 8.8626
Cr 3.8950 2.9598 3.7841
Cr 3.9019 6.7691 3.7485
Ag 0.4780 4.8520 3.8524
Ag 1.7344 6.7689 0.0049
Ag 3.8363 -0.8706 12.6417
Ag 5.0926 1.0464 8.7942
S 0.5038 4.7720 1.3203
S 0.6896 1.0618 1.4662
S 0.6726 4.9194 8.0780
S 0.8555 1.0062 8.0484
S 1.8055 2.8882 4.7546
S 1.8098 6.8370 4.6537
S 1.5806 -0.7817 11.1121
S 1.8306 2.8257 11.1883
S 3.7401 3.0727 1.4583
S 3.9900 6.6801 1.5345
S 3.7608 -0.9387 7.9929
S 3.7651 3.0102 7.8921
S 4.7152 4.8922 4.5983
S 4.8981 0.9790 4.5686
S 4.8811 4.8366 11.1805
S 5.0669 1.1264 11.3263
```

***

This entry pairs a crystal structure of HfCrAgS4 with its calculated XRD peak list. Radiation: Cu Kα (weighted mean of Kα1 and Kα2). Structure: a structure optimized by DFT (GGA-PBE).

Main lines, by angle (10° ≤ 2θ ≤ 90°):
- 13.52°, I 59, (0 0 1)
- 28.93°, I 100, (1 2 0)
- 39.63°, I 39, (2 0 -2)
- 39.87°, I 45, (1 2 -2)
- 40.40°, I 74, (1 2 2)
- 51.27°, I 56, (3 2 0)

Crystal structure
```
14
Lattice="6.1704 0.0000 0.0000 0.0000 7.1316 0.0000 -0.1660 0.0000 6.5511" Properties=species:S:1:pos:R:3 pbc="T T T"
Hf 0.0000 0.0000 0.0000
Hf 3.0852 1.9455 0.0000
Cr 0.0000 3.6458 0.0000
Cr 3.0852 5.4264 0.0000
Ag 3.0022 1.8848 3.2756
Ag 3.0022 5.3959 3.2756
S 0.9746 1.9097 1.4347
S 1.0745 5.3329 1.3703
S 1.8342 3.7300 5.1524
S 1.9337 0.0226 5.0957
S 4.0707 0.0226 1.4554
S 4.1703 3.7300 1.3988
S 4.9300 5.3329 5.1808
S 5.0298 1.9097 5.1164
```

***

This entry pairs a crystal structure of HfCrAgS4 with its calculated XRD peak list. Radiation: Cu Kα (weighted mean of Kα1 and Kα2). Structure: a structure optimized by DFT (GGA-PBE).

Main lines, by angle (10° ≤ 2θ ≤ 90°):
- 25.70°, I 52, (0 1 1)
- 26.18°, I 100, (2 0 3)
- 32.32°, I 72, (2 1 2)
- 36.47°, I 75, (3 1 2)
- 45.05°, I 60, (1 1 5)
- 50.56°, I 67, (0 2 0)

Crystal structure
```
28
Lattice="12.0553 0.0000 0.0000 0.0000 3.6108 0.0000 0.0000 0.0000 12.3750" Properties=species:S:1:pos:R:3 pbc="T T T"
Hf 1.8202 0.9027 2.5824
Hf 4.2074 2.7081 8.7699
Hf 7.8479 0.9027 3.6051
Hf 10.2351 2.7081 9.7926
Cr 1.2991 0.9027 7.1097
Cr 4.7286 2.7081 0.9222
Cr 7.3268 0.9027 11.4528
Cr 10.7562 2.7081 5.2653
Ag 1.6583 2.7081 11.3305
Ag 4.3694 0.9027 5.1430
Ag 7.6859 2.7081 7.2320
Ag 10.3970 0.9027 1.0445
S 0.3476 0.9027 4.7960
S 0.5054 2.7081 1.4650
S 2.4559 0.9027 9.3055
S 2.7758 2.7081 6.5858
S 3.2518 0.9027 0.3983
S 3.5718 2.7081 3.1180
S 5.5222 0.9027 7.6525
S 5.6801 2.7081 10.9835
S 6.3752 0.9027 1.3915
S 6.5331 2.7081 4.7225
S 8.4835 0.9027 9.2570
S 8.8035 2.7081 11.9767
S 9.2795 0.9027 5.7892
S 9.5994 2.7081 3.0695
S 11.5499 0.9027 10.9100
S 11.7077 2.7081 7.5790
```

***

This entry pairs a crystal structure of HfCrAgS4 with its calculated XRD peak list. Radiation: Cu Kα (weighted mean of Kα1 and Kα2). Structure: a structure optimized by DFT (GGA-PBE).

Main lines, by angle (10° ≤ 2θ ≤ 90°):
- 25.94°, I 75, (2 0 -3)
- 26.34°, I 100, (2 0 3)
- 29.53°, I 80, (4 0 0)
- 34.20°, I 70, (3 1 1)
- 36.28°, I 85, (3 1 -2)
- 36.57°, I 66, (3 1 2)

Crystal structure
```
28
Lattice="12.0973 0.0000 0.0000 0.0000 3.6094 0.0000 -0.2029 0.0000 12.3803" Properties=species:S:1:pos:R:3 pbc="T T T"
Hf 0.0000 0.0000 0.0000
Hf 0.4658 0.0000 7.6634
Hf 3.7825 1.8047 4.9340
Hf 5.8913 0.0000 11.3442
Cr 3.0215 1.8047 9.6967
Cr 6.6736 0.0000 3.5114
Cr 9.1909 1.8047 1.6973
Cr 9.6469 1.8047 6.2484
Ag 0.0864 1.8047 3.6409
Ag 3.5022 0.0000 1.5118
Ag 6.3702 1.8047 7.6390
Ag 9.2891 0.0000 9.7839
S 1.3276 1.8047 1.1107
S 1.3407 0.0000 10.2006
S 2.2743 0.0000 4.0867
S 2.2736 1.8047 7.2742
S 4.1212 1.8047 11.8744
S 4.4833 0.0000 9.1594
S 5.1697 1.8047 2.8550
S 5.4282 0.0000 5.6691
S 7.1793 1.8047 10.2108
S 7.5648 0.0000 1.1950
S 8.2431 1.8047 4.0102
S 8.4162 0.0000 7.2482
S 10.1597 1.8047 11.8089
S 10.6723 0.0000 2.1706
S 10.9571 1.8047 8.3199
S 11.2072 0.0000 5.5602
```